Simulated PXRD pattern of Hg2BiI2 for Cu Kα (weighted mean of Kα1 and Kα2), from a crystal structure in Alexandria, relaxed with PBE.
Lines closer than 0.1° are merged.

Most intense lines, 2θ from 10° to 90°, most intense first:
26.3 deg, intensity 100
37.8 deg, intensity 78
26.7 deg, intensity 59
11.0 deg, intensity 54
14.4 deg, intensity 26
33.4 deg, intensity 20
49.8 deg, intensity 20
41.3 deg, intensity 17
33.1 deg, intensity 16
34.6 deg, intensity 13
29.0 deg, intensity 12
72.9 deg, intensity 12

Crystal structure
```
Hg2BiI2
1.0
8.6924 -2.1881 0.0000
8.6924 2.1881 0.0000
-2.5443 0.0000 6.1750
Hg Bi I
2 1 2
Direct
0.0000 0.0000 0.0000 Hg
0.6573 0.6573 0.1569 Hg
0.6717 0.6717 0.6710 Bi
0.0339 0.0339 0.5337 I
0.3103 0.3103 0.8087 I
```


Simulated PXRD pattern of NaCaAlH2OF6 for Cu Kα (weighted mean of Kα1 and Kα2), from a crystal structure in Alexandria, relaxed with PBE.
Lines closer than 0.1° are merged.

Most intense lines, 2θ from 10° to 90°, most intense first:
45.4 deg, intensity 100
22.3 deg, intensity 72
31.7 deg, intensity 61
22.4 deg, intensity 61
41.1 deg, intensity 58
45.8 deg, intensity 53
29.2 deg, intensity 39
31.9 deg, intensity 36
48.4 deg, intensity 35
37.0 deg, intensity 29
41.7 deg, intensity 25
47.0 deg, intensity 24

Crystal structure
```
NaCaAlH2OF6
1.0
6.1210 -5.2710 0.0000
6.1210 5.2710 0.0000
-6.0639 0.0000 7.9281
Na Ca Al H O F
4 4 4 8 4 24
Direct
0.0053 0.7642 0.5057 Na
0.2358 0.9947 0.9943 Na
0.7642 0.0053 0.0057 Na
0.9947 0.2358 0.4943 Na
0.1851 0.8149 0.2500 Ca
0.4225 0.5775 0.7500 Ca
0.5775 0.4225 0.2500 Ca
0.8149 0.1851 0.7500 Ca
0.0999 0.3458 0.2557 Al
0.3458 0.0999 0.7557 Al
0.6542 0.9001 0.2443 Al
0.9001 0.6542 0.7443 Al
0.1819 0.4137 0.0432 H
0.2720 0.4809 0.9650 H
0.4137 0.1819 0.5432 H
0.4809 0.2720 0.4650 H
0.5191 0.7280 0.5350 H
0.5863 0.8181 0.4568 H
0.7280 0.5191 0.0350 H
0.8181 0.5863 0.9568 H
0.2688 0.5121 0.0716 O
0.4879 0.7312 0.4284 O
0.5121 0.2688 0.5716 O
0.7312 0.4879 0.9284 O
0.0437 0.2611 0.0300 F
0.0920 0.5861 0.2867 F
0.1008 0.1018 0.2193 F
0.1018 0.1008 0.7193 F
0.1500 0.6722 0.8012 F
0.1657 0.4320 0.4794 F
0.2611 0.0437 0.5300 F
0.3278 0.8500 0.6988 F
0.3428 0.3482 0.7988 F
0.3482 0.3428 0.2988 F
0.4139 0.9080 0.2133 F
0.4320 0.1657 0.9794 F
0.5680 0.8343 0.0206 F
0.5861 0.0920 0.7867 F
0.6518 0.6572 0.7012 F
0.6572 0.6518 0.2012 F
0.6722 0.1500 0.3012 F
0.7389 0.9563 0.4700 F
0.8343 0.5680 0.5206 F
0.8500 0.3278 0.1988 F
0.8982 0.8992 0.2807 F
0.8992 0.8982 0.7807 F
0.9080 0.4139 0.7133 F
0.9563 0.7389 0.9700 F
```


Simulated PXRD pattern of RbIn10Hg2 for Cu Kα (weighted mean of Kα1 and Kα2), from a crystal structure in Alexandria, relaxed with PBE.
Lines closer than 0.1° are merged.

Most intense lines, 2θ from 10° to 90°, most intense first:
32.8 deg, intensity 100
36.7 deg, intensity 58
36.8 deg, intensity 39
58.5 deg, intensity 29
16.2 deg, intensity 25
32.6 deg, intensity 24
32.9 deg, intensity 24
28.3 deg, intensity 23
37.0 deg, intensity 18
11.4 deg, intensity 15
68.7 deg, intensity 10
52.8 deg, intensity 9

Crystal structure
```
RbIn10Hg2
1.0
0.0000 7.6844 7.7713
3.1578 0.0000 7.7713
3.1578 7.6844 0.0000
Rb In Hg
1 10 2
Direct
0.0000 0.0000 0.0000 Rb
0.0000 0.0000 0.5000 In
0.0005 0.3581 0.6419 In
0.9995 0.6419 0.3581 In
0.2849 0.4968 0.5032 In
0.3581 0.0005 0.9995 In
0.4968 0.2849 0.7151 In
0.5000 0.5000 0.0000 In
0.5032 0.7151 0.2849 In
0.6419 0.9995 0.0005 In
0.7151 0.5032 0.4968 In
0.0000 0.5000 0.0000 Hg
0.5000 0.0000 0.5000 Hg
```


Simulated PXRD pattern of GaSeS for Cu Kα (weighted mean of Kα1 and Kα2), from a crystal structure in Alexandria, relaxed with PBE.
Lines closer than 0.1° are merged.

Most intense lines, 2θ from 10° to 90°, most intense first:
15.3 deg, intensity 100
27.5 deg, intensity 68
36.5 deg, intensity 50
35.0 deg, intensity 22
44.6 deg, intensity 19
32.2 deg, intensity 17
27.4 deg, intensity 16
45.4 deg, intensity 15
16.6 deg, intensity 15
56.3 deg, intensity 14
33.7 deg, intensity 14
48.0 deg, intensity 13

Crystal structure
```
GaSeS
1.0
4.1506 0.0000 0.0000
-0.3545 6.3205 0.0000
-0.3218 -2.6138 5.7978
Ga Se S
2 2 2
Direct
0.0000 0.0000 0.0000 Ga
0.3265 0.1510 0.6652 Ga
0.6494 0.8374 0.1945 Se
0.8660 0.3399 0.9046 Se
0.2458 0.8022 0.6774 S
0.4212 0.1873 0.3231 S
```


Simulated PXRD pattern of Y3Ho8Th3 for Cu Kα (weighted mean of Kα1 and Kα2), from a crystal structure in Alexandria, relaxed with PBE.
Lines closer than 0.1° are merged.

Most intense lines, 2θ from 10° to 90°, most intense first:
32.0 deg, intensity 100
31.7 deg, intensity 52
34.1 deg, intensity 44
30.0 deg, intensity 34
29.2 deg, intensity 23
30.9 deg, intensity 21
25.7 deg, intensity 20
56.7 deg, intensity 20
44.9 deg, intensity 15
61.5 deg, intensity 14
62.9 deg, intensity 12
51.2 deg, intensity 12

Crystal structure
```
Y3Ho8Th3
1.0
-2.8185 5.3525 7.4422
2.8185 -5.3525 7.4422
2.8185 5.3525 -7.4422
Y Ho Th
3 8 3
Direct
0.0000 0.0000 0.0000 Y
0.3076 0.0000 0.3076 Y
0.6924 0.0000 0.6924 Y
0.0560 0.3970 0.6590 Ho
0.0660 0.2243 0.8417 Ho
0.2620 0.6030 0.6590 Ho
0.3826 0.2243 0.1583 Ho
0.6174 0.7757 0.8417 Ho
0.7380 0.3970 0.3410 Ho
0.9340 0.7757 0.1583 Ho
0.9440 0.6030 0.3410 Ho
0.3136 0.8136 0.5000 Th
0.5000 0.5000 0.0000 Th
0.6864 0.1864 0.5000 Th
```


Simulated PXRD pattern of SiB6N6 for Cu Kα (weighted mean of Kα1 and Kα2), from a crystal structure in Alexandria, relaxed with PBE.
Lines closer than 0.1° are merged.

Most intense lines, 2θ from 10° to 90°, most intense first:
48.6 deg, intensity 100
19.3 deg, intensity 64
39.3 deg, intensity 53
77.9 deg, intensity 42
44.1 deg, intensity 37
33.8 deg, intensity 18
27.5 deg, intensity 18
84.4 deg, intensity 18
60.5 deg, intensity 12
71.2 deg, intensity 12
87.7 deg, intensity 7
67.7 deg, intensity 7

Crystal structure
```
SiB6N6
1.0
4.5892 0.0000 0.0000
0.0000 4.5892 0.0000
0.0000 0.0000 4.5892
Si B N
1 6 6
Direct
0.0000 0.0000 0.0000 Si
0.0000 0.2441 0.5000 B
0.0000 0.7559 0.5000 B
0.2441 0.5000 0.0000 B
0.5000 0.0000 0.2441 B
0.5000 0.0000 0.7559 B
0.7559 0.5000 0.0000 B
0.0000 0.5000 0.2540 N
0.0000 0.5000 0.7460 N
0.2540 0.0000 0.5000 N
0.5000 0.2540 0.0000 N
0.5000 0.7460 0.0000 N
0.7460 0.0000 0.5000 N
```


> What is the formula in the second record?

NaCaAlH2OF6


Repeat the first record exactly.
Simulated PXRD pattern of Hg2BiI2 for Cu Kα (weighted mean of Kα1 and Kα2), from a crystal structure in Alexandria, relaxed with PBE.
Lines closer than 0.1° are merged.

Most intense lines, 2θ from 10° to 90°, most intense first:
26.3 deg, intensity 100
37.8 deg, intensity 78
26.7 deg, intensity 59
11.0 deg, intensity 54
14.4 deg, intensity 26
33.4 deg, intensity 20
49.8 deg, intensity 20
41.3 deg, intensity 17
33.1 deg, intensity 16
34.6 deg, intensity 13
29.0 deg, intensity 12
72.9 deg, intensity 12

Crystal structure
```
Hg2BiI2
1.0
8.6924 -2.1881 0.0000
8.6924 2.1881 0.0000
-2.5443 0.0000 6.1750
Hg Bi I
2 1 2
Direct
0.0000 0.0000 0.0000 Hg
0.6573 0.6573 0.1569 Hg
0.6717 0.6717 0.6710 Bi
0.0339 0.0339 0.5337 I
0.3103 0.3103 0.8087 I
```